Diffraction record for Fe2RhS4. The X-ray diffraction stick pattern is theoretical, not measured: it uses a GGA-PBE-relaxed structure and Cu Kα, 1.54184 Å.
No peak broadening, texture or thermal motion is included.

Atomic structure:
```
Fe2RhS4
1.0
-3.333 3.431 4.799
3.333 -3.431 4.799
3.333 3.431 -4.799
Fe Rh S
4 2 8
Direct
0.000 0.000 0.500
0.000 0.500 0.000
0.376 0.126 0.250
0.624 0.874 0.750
0.000 0.500 0.500
0.500 0.500 0.000
0.228 0.748 0.480
0.232 0.252 0.980
0.236 0.242 0.506
0.236 0.731 0.994
0.764 0.269 0.006
0.764 0.758 0.494
0.768 0.748 0.020
0.772 0.252 0.520
```

Most intense lines, 2θ from 10° to 80°, low angle first:
| 2theta | I_rel |
| --- | --- |
| 16.19 | 43 |
| 30.77 | 100 |
| 31.00 | 42 |
| 31.25 | 37 |
| 37.48 | 31 |
| 37.62 | 61 |
| 49.26 | 26 |
| 49.80 | 23 |
| 53.41 | 23 |
| 54.16 | 88 |